Starting from the PBE+U geometry in Alexandria, the X-ray powder pattern of Ba2ScFeAsO3 was computed for Cu Kα (weighted mean of Kα1 and Kα2).
Neutral-atom scattering factors, no anomalous dispersion.

Atomic structure:
```
Ba2ScFeAsO3
1.0
4.2186 0.0000 0.0000
0.0000 4.2186 0.0000
0.0000 0.0000 17.3239
Ba Sc Fe As O
4 2 2 2 6
direct
0.2500 0.2500 0.0843
0.2500 0.2500 0.3056
0.7500 0.7500 0.6944
0.7500 0.7500 0.9157
0.2500 0.2500 0.8152
0.7500 0.7500 0.1848
0.2500 0.7500 0.5000
0.7500 0.2500 0.5000
0.2500 0.2500 0.5914
0.7500 0.7500 0.4086
0.2500 0.2500 0.9295
0.2500 0.7500 0.2037
0.2500 0.7500 0.7963
0.7500 0.2500 0.2037
0.7500 0.2500 0.7963
0.7500 0.7500 0.0705
```

Largest 8 diffraction maxima, in order of rising 2θ, 2θ from 5° to 70°:
21.68 deg, intensity 19; 29.56 deg, intensity 100; 29.95 deg, intensity 43; 33.82 deg, intensity 19; 36.58 deg, intensity 16; 42.87 deg, intensity 40; 52.21 deg, intensity 19; 52.93 deg, intensity 44